# ZnCd4O5
Calculated powder X-ray diffraction pattern, Cu Kα X-rays. Input: DFT lattice parameters and positions (PBE).
Lines closer than 0.1° are merged.

Peak list (10 most intense, 2θ = 5–70°, by angle)
2θ/deg, Rel. int., (hkl)
30.33, 32, 0 0 15
30.76, 100, 0 1 5
35.54, 46, 1 0 10
45.67, 3, 0 1 17
50.86, 26, 0 1 20
51.42, 29, 1 1 0
60.37, 12, 1 0 25
60.87, 24, 1 1 15
61.12, 13, 2 0 5
64.06, 8, 0 2 10

Structural model:
a = 3.5544 Å, b = 3.5544 Å, c = 44.2033 Å
α = 90.00°, β = 90.00°, γ = 120.00°
Space group R3m (No. 160, hexagonal axes)
Unique sites:
Zn  0.0000  0.0000  0.0000 x3
Cd  0.0000  0.0000  0.2014 x3
Cd  0.0000  0.0000  0.3966 x3
Cd  0.0000  0.0000  0.6038 x3
Cd  0.0000  0.0000  0.7990 x3
O  0.0000  0.0000  0.0447 x3
O  0.0000  0.0000  0.2515 x3
O  0.0000  0.0000  0.4467 x3
O  0.0000  0.0000  0.6545 x3
O  0.0000  0.0000  0.8491 x3

# Ac3TlGe3
Calculated powder X-ray diffraction pattern, Cu Kα X-rays. Input: DFT lattice parameters and positions (PBE).
Lines closer than 0.1° are merged.

Peak list (10 most intense, 2θ = 5–70°, by angle)
2θ/deg, Rel. int., (hkl)
23.36, 73, 1 1 1
25.84, 54, 2 0 1
27.30, 88, 0 0 2
29.10, 50, 1 2 0
32.23, 25, 1 2 1
33.11, 100, 3 0 0
40.32, 42, 1 2 2
43.42, 96, 3 0 2
50.99, 26, 3 2 1
66.90, 27, 3 0 4

Structural model:
a = 9.3736 Å, b = 9.3736 Å, c = 6.5346 Å
α = 90.00°, β = 90.00°, γ = 120.00°
Space group P6_3/m (No. 176)
Unique sites:
Ac  0.0573  0.6961  0.2500 x6
Tl  0.3333  0.6667  0.7500 x2
Ge  0.0521  0.6912  0.7500 x6